(1)
Theoretical powder diffraction line list
Compound: Tl7In5Hg4
Radiation: a wavelength of 1.5418 Å
Structure: a structure optimized by DFT (GGA-PBE)
Peak positions follow from Bragg's law for the DFT cell and can differ from measured ones.

Largest 8 diffraction maxima, low angle first, 2θ from 5° to 70°:
index  2θ/deg  Rel. int.
2 0 4  32.16  100
2 2 0  34.99  40
0 0 8  41.60  12
4 0 0  50.32  14
2 2 8  55.45  20
4 2 4  60.98  30
4 0 8  67.27  11
2 0 12  69.99  9

Structure:
abc: 7.254 7.254 17.368
angles: 90.00 90.00 90.00
Space group I-42m (No. 121)
Asymmetric unit:
Tl  0.000  0.000  0.000 [2 per cell]
Tl  0.000  0.500  0.000 [4 per cell]
Tl  0.232  0.232  0.630 [8 per cell]
In  0.000  0.000  0.236 [4 per cell]
In  0.000  0.000  0.500 [2 per cell]
In  0.000  0.500  0.250 [4 per cell]
Hg  0.246  0.246  0.367 [8 per cell]

(2)
Theoretical powder diffraction line list
Compound: TlIn6Hg12
Radiation: a wavelength of 1.5418 Å
Structure: a structure optimized by DFT (GGA-PBE)
Peak positions follow from Bragg's law for the DFT cell and can differ from measured ones.

Largest 8 diffraction maxima, low angle first, 2θ from 5° to 70°:
index  2θ/deg  Rel. int.
0 1 2  19.70  25
1 3 1  28.33  100
1 1 3  30.44  50
3 2 1  33.83  59
0 3 3  35.64  45
2 3 2  37.53  55
0 2 4  40.01  31
5 0 2  41.97  52

Structure:
abc: 13.8612 13.8612 9.7255
angles: 90.00 90.00 120.00
Space group R-3m (No. 166, hexagonal axes)
Asymmetric unit:
Tl  0.0000  0.0000  0.0000 [3 per cell]
In  0.0593  0.5297  0.2244 [18 per cell]
Hg  0.0000  0.3901  0.5000 [18 per cell]
Hg  0.0785  0.1570  0.2766 [18 per cell]

(3)
Theoretical powder diffraction line list
Compound: Tl4In12Hg
Radiation: a wavelength of 1.5418 Å
Structure: a structure optimized by DFT (GGA-PBE)
Peak positions follow from Bragg's law for the DFT cell and can differ from measured ones.

Largest 8 diffraction maxima, low angle first, 2θ from 5° to 70°:
index  2θ/deg  Rel. int.
2 0 2  24.35  54
1 2 2  27.27  100
5 -2 1  32.40  44
2 4 1  38.95  55
4 2 2  42.85  63
3 -1 4  44.69  48
2 4 4  56.27  23
0 0 6  62.20  18

Structure:
abc: 14.6311 14.6311 8.9455
angles: 90.00 90.00 120.00
Space group R-3 (No. 148, hexagonal axes)
Asymmetric unit:
Tl  0.0000  0.0000  0.0000 [3 per cell]
Tl  0.0000  0.5000  0.0000 [9 per cell]
In  0.0202  0.1866  0.8329 [18 per cell]
In  0.0493  0.5979  0.3047 [18 per cell]
Hg  0.0000  0.0000  0.5000 [3 per cell]